For Mg5Pd3O12, a cell relaxed with PBE gives the calculated PXRD pattern in this record (Cu Kα X-rays).
Intensities are scaled so that the largest is 1000.

Structural model:
a = 8.947 Å, b = 8.947 Å, c = 3.046 Å
α = 90.00°, β = 90.00°, γ = 120.00°
Fractional coordinates of all 20 atoms:
Mg (0.000, 0.696, 0.000)
Mg (0.304, 0.304, 0.000)
Mg (0.333, 0.667, 0.000)
Mg (0.667, 0.333, 0.000)
Mg (0.696, 0.000, 0.000)
Pd (0.000, 0.322, 0.500)
Pd (0.322, 0.000, 0.500)
Pd (0.678, 0.678, 0.500)
O (0.000, 0.176, 0.000)
O (0.000, 0.464, 0.000)
O (0.176, 0.000, 0.000)
O (0.191, 0.740, 0.500)
O (0.260, 0.450, 0.500)
O (0.450, 0.260, 0.500)
O (0.464, 0.000, 0.000)
O (0.536, 0.536, 0.000)
O (0.550, 0.809, 0.500)
O (0.740, 0.191, 0.500)
O (0.809, 0.550, 0.500)
O (0.824, 0.824, 0.000)

Top 10 peaks for 10° ≤ 2θ ≤ 80°, in order of falling intensity:
d [Å]  Position (°2θ)  I/Imax
4.474  19.85  1000
2.518  35.66  651
2.583  34.73  432
1.803  50.63  431
1.478  62.86  311
2.237  40.32  140
1.312  71.98  107
1.491  62.26  104
1.691  54.25  102
1.970  46.07  93



For Mg2PdRhO6, a cell relaxed with PBE gives the calculated PXRD pattern in this record (Cu Kα X-rays).
Intensities are scaled so that the largest is 1000.

Structural model:
a = 5.496 Å, b = 5.496 Å, c = 4.359 Å
α = 90.00°, β = 90.00°, γ = 90.00°
Fractional coordinates of all 10 atoms:
Mg (0.000, 0.500, 0.000)
Mg (0.500, 0.000, 0.000)
Pd (0.000, 0.000, 0.718)
Rh (0.500, 0.500, 0.694)
O (0.000, 0.000, 0.256)
O (0.258, 0.258, 0.828)
O (0.258, 0.742, 0.828)
O (0.500, 0.500, 0.279)
O (0.742, 0.258, 0.828)
O (0.742, 0.742, 0.828)

Top 10 peaks for 10° ≤ 2θ ≤ 80°, in order of falling intensity:
d [Å]  Position (°2θ)  I/Imax
2.901  30.83  1000
3.886  22.89  998
4.359  20.37  932
2.748  32.59  549
1.901  47.85  537
1.943  46.75  462
1.614  57.05  353
1.359  69.13  336
1.775  51.50  284
2.324  38.74  192



For PmSm2MgO, a cell relaxed with PBE gives the calculated PXRD pattern in this record (Cu Kα X-rays).
Intensities are scaled so that the largest is 1000.

Structural model:
a = 4.948 Å, b = 4.948 Å, c = 4.988 Å
α = 90.00°, β = 90.00°, γ = 90.00°
Fractional coordinates of all 5 atoms:
Pm (0.000, 0.000, 0.000)
Sm (0.000, 0.500, 0.500)
Sm (0.500, 0.000, 0.500)
Mg (0.500, 0.500, 0.000)
O (0.000, 0.000, 0.500)

Top 10 peaks for 10° ≤ 2θ ≤ 80°, in order of falling intensity:
d [Å]  Position (°2θ)  I/Imax
2.864  31.23  1000
2.474  36.32  385
1.493  62.18  283
1.756  52.07  272
2.494  36.01  197
4.948  17.93  181
1.502  61.78  144
1.432  65.14  137
1.749  52.30  134
4.988  17.78  99



For SrPmMgO4, a cell relaxed with PBE gives the calculated PXRD pattern in this record (Cu Kα X-rays).
Intensities are scaled so that the largest is 1000.

Structural model:
a = 6.828 Å, b = 6.828 Å, c = 5.658 Å
α = 90.00°, β = 90.00°, γ = 133.88°
Fractional coordinates of all 14 atoms:
Sr (0.105, 0.895, 0.750)
Sr (0.895, 0.105, 0.250)
Pm (0.385, 0.615, 0.750)
Pm (0.615, 0.385, 0.250)
Mg (0.258, 0.742, 0.250)
Mg (0.742, 0.258, 0.750)
O (0.000, 0.500, 0.000)
O (0.000, 0.500, 0.500)
O (0.086, 0.914, 0.250)
O (0.433, 0.567, 0.250)
O (0.500, 0.000, 0.000)
O (0.500, 0.000, 0.500)
O (0.567, 0.433, 0.750)
O (0.914, 0.086, 0.750)

Top 10 peaks for 10° ≤ 2θ ≤ 80°, in order of falling intensity:
d [Å]  Position (°2θ)  I/Imax
2.849  31.40  1000
3.714  23.96  616
1.944  46.74  448
2.829  31.62  442
2.675  33.51  378
2.102  43.03  308
2.036  44.49  278
3.141  28.41  248
1.637  56.18  202
1.630  56.47  192